# ZnGa2S4
Theoretical powder diffractogram, λ = 1.5418 Å (Cu Kα). Input: a structure optimized by DFT (GGA-PBE).

Cell and atoms:
```
data_ZnGa2S4
_chemical_formula_sum 'Zn1 Ga2 S4'
_space_group_name_H-M_alt 'P -4 2 m'
_space_group_IT_number 111
_space_group_name_Hall 'P -4 2'
_cell_length_a 5.243
_cell_length_b 5.243
_cell_length_c 5.456
_cell_angle_alpha 90.00
_cell_angle_beta 90.00
_cell_angle_gamma 90.00
loop_
_atom_site_label
_atom_site_type_symbol
_atom_site_fract_x
_atom_site_fract_y
_atom_site_fract_z
Zn1 Zn 0.000 0.000 0.000
Ga1 Ga 0.000 0.500 0.500
S1 S 0.262 0.262 0.245
```

The 12 most intense peaks (10° ≤ 2θ ≤ 90°), most intense first:
h k l  2θ/deg  I (rel.)
1 1 1  29.1  100
2 0 2  48.1  43
3 1 1  58.2  25
2 2 0  49.2  20
1 1 3  56.4  14
1 0 1  23.5  13
3 1 3  78.0  10
1 0 0  16.9  10
0 0 1  16.2  8
2 2 4  89.1  7
1 1 0  24.0  7
2 1 1  41.9  6



# Y2Zr2O7
Theoretical powder diffractogram, λ = 1.5418 Å (Cu Kα). Input: a structure optimized by DFT (GGA-PBE).

Cell and atoms:
a b c (Å): 10.608 10.608 10.608
angles (deg): 90.00 90.00 90.00
Space group Fd-3m (No. 227, origin choice 2)
Symmetry-distinct sites (fractional):
Y  0.000  0.000  0.000 x16
Zr  0.000  0.000  0.500 x16
O  0.091  0.375  0.875 x48
O  0.125  0.125  0.125 x8

The 12 most intense peaks (10° ≤ 2θ ≤ 90°), most intense first:
h k l  2θ/deg  I (rel.)
2 2 2  29.2  100
4 4 0  48.5  53
6 2 2  57.6  42
4 0 0  33.8  25
6 6 2  78.6  16
8 4 0  81.1  11
4 4 4  60.5  8
8 0 0  71.1  7
3 3 1  36.9  1
3 1 1  27.9  1
3 3 3  44.4  1
7 3 1  67.9  1



# MgZrO3
Theoretical powder diffractogram, λ = 1.5418 Å (Cu Kα). Input: a structure optimized by DFT (GGA-PBE).

Cell and atoms:
```
data_MgZrO3
_chemical_formula_sum 'Mg1 Zr1 O3'
_space_group_name_H-M_alt 'P m -3 m'
_space_group_IT_number 221
_space_group_name_Hall '-P 4 2 3'
_cell_length_a 4.133
_cell_length_b 4.133
_cell_length_c 4.133
_cell_angle_alpha 90.00
_cell_angle_beta 90.00
_cell_angle_gamma 90.00
loop_
_atom_site_label
_atom_site_type_symbol
_atom_site_fract_x
_atom_site_fract_y
_atom_site_fract_z
Mg1 Mg 0.000 0.000 0.000
Zr1 Zr 0.500 0.500 0.500
O1 O 0.000 0.500 0.500
```

The 12 most intense peaks (10° ≤ 2θ ≤ 90°), most intense first:
h k l  2θ/deg  I (rel.)
1 1 0  30.6  100
1 0 0  21.5  86
2 0 0  43.8  48
2 1 1  54.4  40
2 1 0  49.3  33
2 2 0  63.7  28
3 2 1  88.5  20
3 1 0  72.3  17
3 0 0  68.0  15
2 2 2  80.5  9
3 2 0  84.5  6
3 1 1  76.4  1



# GdZnPd
Theoretical powder diffractogram, λ = 1.5418 Å (Cu Kα). Input: a structure optimized by DFT (GGA-PBE).

Cell and atoms:
```
data_GdZnPd
_chemical_formula_sum 'Gd3 Zn3 Pd3'
_space_group_name_H-M_alt 'P -6 2 m'
_space_group_IT_number 189
_space_group_name_Hall 'P -6 -2'
_cell_length_a 7.3605
_cell_length_b 7.3605
_cell_length_c 3.9257
_cell_angle_alpha 90.00
_cell_angle_beta 90.00
_cell_angle_gamma 120.00
loop_
_atom_site_label
_atom_site_type_symbol
_atom_site_fract_x
_atom_site_fract_y
_atom_site_fract_z
Gd1 Gd 0.0000 0.4036 0.0000
Zn1 Zn 0.0000 0.7497 0.5000
Pd1 Pd 0.0000 0.0000 0.0000
Pd2 Pd 0.3333 0.6667 0.5000
```

The 12 most intense peaks (10° ≤ 2θ ≤ 90°), most intense first:
h k l  2θ/deg  I (rel.)
1 1 1  33.4  100
2 0 1  36.3  89
3 0 0  42.5  37
2 1 0  37.3  36
3 2 1  68.5  27
0 0 2  46.3  25
2 1 1  44.1  23
3 0 2  64.6  21
3 1 1  57.1  19
2 1 2  60.9  17
1 1 0  24.2  14
3 1 0  51.7  14



# Cu3PdN
Theoretical powder diffractogram, λ = 1.5418 Å (Cu Kα). Input: a structure optimized by DFT (GGA-PBE).

Cell and atoms:
```
data_Cu3PdN
_chemical_formula_sum 'Cu3 Pd1 N1'
_space_group_name_H-M_alt 'P m -3 m'
_space_group_IT_number 221
_space_group_name_Hall '-P 4 2 3'
_cell_length_a 3.879
_cell_length_b 3.879
_cell_length_c 3.879
_cell_angle_alpha 90.00
_cell_angle_beta 90.00
_cell_angle_gamma 90.00
loop_
_atom_site_label
_atom_site_type_symbol
_atom_site_fract_x
_atom_site_fract_y
_atom_site_fract_z
Cu1 Cu 0.000 0.000 0.500
Pd1 Pd 0.500 0.500 0.500
N1 N 0.000 0.000 0.000
```

The 11 most intense peaks (10° ≤ 2θ ≤ 90°), most intense first:
h k l  2θ/deg  I (rel.)
1 1 1  40.3  100
2 0 0  46.8  56
3 1 1  82.5  34
2 2 0  68.4  33
2 2 2  87.0  11
1 1 0  32.6  8
2 1 1  58.3  3
1 0 0  22.9  2
3 1 0  77.9  1
2 1 0  52.8  1
3 0 0  73.2  1



# FeNi3
Theoretical powder diffractogram, λ = 1.5418 Å (Cu Kα). Input: a structure optimized by DFT (GGA-PBE).

Cell and atoms:
```
data_FeNi3
_chemical_formula_sum 'Fe2 Ni6'
_space_group_name_H-M_alt 'I 4/m m m'
_space_group_IT_number 139
_space_group_name_Hall '-I 4 2'
_cell_length_a 3.534
_cell_length_b 3.534
_cell_length_c 7.079
_cell_angle_alpha 90.00
_cell_angle_beta 90.00
_cell_angle_gamma 90.00
loop_
_atom_site_label
_atom_site_type_symbol
_atom_site_fract_x
_atom_site_fract_y
_atom_site_fract_z
Fe1 Fe 0.000 0.000 0.000
Ni1 Ni 0.000 0.000 0.500
Ni2 Ni 0.000 0.500 0.250
```

The 3 most intense peaks (10° ≤ 2θ ≤ 90°), most intense first:
h k l  2θ/deg  I (rel.)
1 1 2  44.4  100
2 0 0  51.7  46
2 2 0  76.1  27



# CsSi2N3
Theoretical powder diffractogram, λ = 1.5418 Å (Cu Kα). Input: a structure optimized by DFT (GGA-PBE).

Cell and atoms:
```
data_CsSi2N3
_chemical_formula_sum 'Cs4 Si8 N12'
_space_group_name_H-M_alt 'C m c 21'
_space_group_IT_number 36
_space_group_name_Hall 'C 2c -2'
_cell_length_a 9.775
_cell_length_b 5.917
_cell_length_c 5.230
_cell_angle_alpha 90.00
_cell_angle_beta 90.00
_cell_angle_gamma 90.00
loop_
_atom_site_label
_atom_site_type_symbol
_atom_site_fract_x
_atom_site_fract_y
_atom_site_fract_z
Cs1 Cs 0.000 0.149 0.000
Si1 Si 0.174 0.365 0.499
N1 N 0.000 0.351 0.494
N2 N 0.241 0.381 0.831
```

The 12 most intense peaks (10° ≤ 2θ ≤ 90°), most intense first:
h k l  2θ/deg  I (rel.)
3 1 1  35.8  100
0 2 1  34.8  99
1 1 1  24.5  79
2 2 1  39.6  59
0 0 2  34.3  55
3 1 0  31.3  49
2 0 0  18.2  47
1 1 0  17.5  38
2 0 2  39.1  34
6 2 1  68.1  33
4 0 0  36.8  29
3 1 2  47.1  28



# K2ZnS2
Theoretical powder diffractogram, λ = 1.5418 Å (Cu Kα). Input: a structure optimized by DFT (GGA-PBE).

Cell and atoms:
```
data_K2ZnS2
_chemical_formula_sum 'K8 Zn4 S8'
_space_group_name_H-M_alt 'I b a m'
_space_group_IT_number 72
_space_group_name_Hall '-I 2 2c'
_cell_length_a 6.795
_cell_length_b 12.669
_cell_length_c 6.249
_cell_angle_alpha 90.00
_cell_angle_beta 90.00
_cell_angle_gamma 90.00
loop_
_atom_site_label
_atom_site_type_symbol
_atom_site_fract_x
_atom_site_fract_y
_atom_site_fract_z
K1 K 0.163 0.146 0.000
Zn1 Zn 0.000 0.500 0.250
S1 S 0.188 0.398 0.000
```

The 12 most intense peaks (10° ≤ 2θ ≤ 90°), most intense first:
h k l  2θ/deg  I (rel.)
1 1 0  14.8  100
1 3 0  24.8  71
0 4 2  40.6  68
0 2 0  14.0  63
2 1 1  30.8  57
2 0 2  39.2  48
2 4 0  38.9  41
1 1 2  32.3  40
1 4 1  34.4  27
2 3 1  36.9  23
3 3 2  54.6  22
1 7 2  60.7  21



- Number 7 is which compound?
  CsSi2N3



- What is the formula in the fourth record?
  GdZnPd



- Number 3 is which compound?
  MgZrO3